# 1
Calculated X-ray powder pattern of CeAsO5F for Cu Kα, from the GGA-PBE geometry in the Materials Project.
Neutral-atom scattering factors, no anomalous dispersion.

Atomic structure:
Cell lengths 5.3098, 7.3394, 12.8674 Å; angles 90.00, 109.05, 90.00 degrees
Space group P2_1/c (No. 14)
Asymmetric unit:
1 Ce 0.0474 0.2030 0.3088 x4
2 As 0.3921 0.1378 0.6134 x4
3 O 0.1793 0.6155 0.5817 x4
4 O 0.2229 0.5640 0.1108 x4
5 O 0.2678 0.6018 0.8261 x4
6 O 0.2910 0.2064 0.1901 x4
7 O 0.3305 0.2123 0.4812 x4
8 F 0.1906 0.0012 0.8198 x4

The 6 most intense peaks (15° ≤ 2θ ≤ 90°), by intensity:
- hkl 1 1 -2, 22.48°, I = 1000
- hkl 1 1 2, 29.17°, I = 966
- hkl 1 2 -1, 29.63°, I = 805
- hkl 1 1 0, 21.45°, I = 520
- hkl 1 0 2, 26.46°, I = 485
- hkl 2 0 -2, 33.91°, I = 459

=====

# 2
Calculated X-ray powder pattern of CeAsO4F for Cu Kα, from the GGA-PBE geometry in the Materials Project.
Neutral-atom scattering factors, no anomalous dispersion.

Atomic structure:
Cell lengths 8.8272, 7.1991, 6.7081 Å; angles 90.00, 90.00, 90.00 degrees
Space group Pnma (No. 62)
Asymmetric unit:
1 Ce 0.0435 0.2500 0.1476 x4
2 As 0.1039 0.7500 0.3238 x4
3 O 0.0195 0.2500 0.4806 x4
4 O 0.0705 0.5670 0.1620 x8
5 O 0.2122 0.2500 0.8994 x4
6 F 0.2104 0.7500 0.7994 x4

The 6 most intense peaks (15° ≤ 2θ ≤ 90°), by intensity:
- hkl 0 2 0, 24.73°, I = 1000
- hkl 1 1 2, 31.11°, I = 928
- hkl 2 0 1, 24.14°, I = 620
- hkl 2 0 0, 20.12°, I = 559
- hkl 1 3 2, 47.73°, I = 416
- hkl 4 1 1, 45.05°, I = 277